This entry pairs a crystal structure of Pm2Tm3Tl2 with its simulated powder XRD pattern. Radiation: CuKα. Structure: a structure optimized by DFT (GGA-PBE).
Lines closer than 0.1° are merged.

Atomic structure:
```
Pm2Tm3Tl2
1.0
5.5534 -2.4009 0.0000
5.5534 2.4009 0.0000
-2.6623 0.0000 7.9629
Pm Tm Tl
2 3 2
Direct
0.1162 0.1162 0.2693
0.8838 0.8838 0.7307
0.3651 0.3651 0.0611
0.5000 0.5000 0.5000
0.6349 0.6349 0.9389
0.1807 0.1807 0.6905
0.8193 0.8193 0.3095
```

The 10 most intense peaks (2θ = 5–70°), in order of rising 2θ:
d [Å]  intensity
2.916  100.0
2.834  18.7
2.767  95.1
2.746  31.2
2.653  25.8
2.414  15.8
2.401  42.7
2.293  19.9
1.807  18.4
1.658  14.8